Simulated powder diffraction line list
Compound: Tb4Co6O19
Radiation: Cu Kα X-rays
Structure: a DFT-relaxed cell (GGA+U, Alexandria)
Intensities are scaled so that the largest is 100.

Structural model:
Cell lengths 7.3432, 7.3432, 7.3432 Å; angles 109.47, 109.47, 109.47 degrees
Fractional coordinates of all 29 atoms:
Tb (0.0000, 0.0000, 0.3267)
Tb (0.0000, 0.3267, 0.0000)
Tb (0.3267, 0.0000, 0.0000)
Tb (0.6733, 0.6733, 0.6733)
Co (0.1595, 0.5000, 0.6595)
Co (0.3405, 0.8405, 0.5000)
Co (0.5000, 0.3405, 0.8405)
Co (0.5000, 0.6595, 0.1595)
Co (0.6595, 0.1595, 0.5000)
Co (0.8405, 0.5000, 0.3405)
O (0.0000, 0.0000, 0.0000)
O (0.0000, 0.3502, 0.3502)
O (0.0000, 0.6498, 0.6498)
O (0.0370, 0.6752, 0.2837)
O (0.2467, 0.6383, 0.9630)
O (0.2837, 0.0370, 0.6752)
O (0.3248, 0.3617, 0.6084)
O (0.3502, 0.0000, 0.3502)
O (0.3502, 0.3502, 0.0000)
O (0.3617, 0.6084, 0.3248)
O (0.3916, 0.7533, 0.7163)
O (0.6084, 0.3248, 0.3617)
O (0.6383, 0.9630, 0.2467)
O (0.6498, 0.0000, 0.6498)
O (0.6498, 0.6498, 0.0000)
O (0.6752, 0.2837, 0.0370)
O (0.7163, 0.3916, 0.7533)
O (0.7533, 0.7163, 0.3916)
O (0.9630, 0.2467, 0.6383)

Main lines, low angle first (2θ from 10° to 90°):
d 3.462, intensity 100
d 2.681, intensity 57
d 2.448, intensity 15
d 2.266, intensity 26
d 1.999, intensity 63
d 1.731, intensity 20
d 1.663, intensity 18
d 1.548, intensity 20
d 1.413, intensity 26
d 1.154, intensity 22